Computed powder XRD pattern of Nd8Hg2Au for CuKα, from DFT lattice parameters and positions (PBE).

Principal peaks in the range 2θ from 10° to 90°, by intensity:
| Position (°2θ) | Rel. int. | h k l |
| --- | --- | --- |
| 30.4 | 100 | 1 1 -2 |
| 33.8 | 97 | 0 2 0 |
| 32.5 | 71 | 1 1 2 |
| 29.6 | 64 | 5 1 0 |
| 35.4 | 46 | 5 1 -2 |
| 62.9 | 36 | 7 1 3 |
| 29.8 | 36 | 5 1 -1 |
| 57.9 | 34 | 11 1 -2 |
| 37.6 | 34 | 7 1 -1 |
| 29.3 | 31 | 6 0 0 |

Cell and atoms:
abc: 18.9186 5.3049 7.0752
angles: 90.00 104.63 90.00
Space group C2/m (No. 12)
Symmetry-distinct sites (fractional):
1 Nd 0.0184 0.0000 0.2710
2 Nd 0.0906 0.5000 0.9586
3 Nd 0.1605 0.5000 0.4805
4 Nd 0.2031 0.0000 0.8230
5 Hg 0.1815 0.0000 0.2399
6 Au 0.0000 0.5000 0.5000

---

Computed powder XRD pattern of Nd4HgAu2 for CuKα, from DFT lattice parameters and positions (PBE).

Principal peaks in the range 2θ from 10° to 90°, by intensity:
| Position (°2θ) | Rel. int. | h k l |
| --- | --- | --- |
| 35.5 | 100 | 1 1 0 |
| 37.0 | 61 | 1 0 10 |
| 20.5 | 42 | 1 0 1 |
| 52.2 | 26 | 0 2 10 |
| 64.7 | 23 | 2 1 10 |
| 31.9 | 20 | 0 1 8 |
| 39.7 | 19 | 0 1 11 |
| 63.8 | 18 | 3 0 0 |
| 25.4 | 18 | 0 1 5 |
| 23.7 | 17 | 1 0 4 |

Cell and atoms:
abc: 5.0552 5.0552 29.2288
angles: 90.00 90.00 120.00
Space group R-3m (No. 166, hexagonal axes)
Symmetry-distinct sites (fractional):
1 Nd 0.0000 0.0000 0.1201
2 Nd 0.0000 0.0000 0.2945
3 Hg 0.0000 0.0000 0.5000
4 Au 0.0000 0.0000 0.3980

---

Computed powder XRD pattern of Nd2HgPd3Au12 for CuKα, from DFT lattice parameters and positions (PBE).

Principal peaks in the range 2θ from 10° to 90°, by intensity:
| Position (°2θ) | Rel. int. | h k l |
| --- | --- | --- |
| 37.9 | 100 | 2 2 0 |
| 39.0 | 64 | 2 0 5 |
| 55.5 | 21 | 0 4 5 |
| 69.2 | 19 | 4 2 5 |
| 68.4 | 17 | 6 0 0 |
| 33.9 | 14 | 0 1 5 |
| 43.6 | 14 | 1 2 5 |
| 71.4 | 12 | 0 2 10 |
| 38.8 | 11 | 2 1 4 |
| 81.0 | 9 | 4 4 0 |

Cell and atoms:
abc: 9.5011 9.5011 13.9408
angles: 90.00 90.00 120.00
Space group R-3m (No. 166, hexagonal axes)
Symmetry-distinct sites (fractional):
1 Nd 0.0000 0.0000 0.2390
2 Hg 0.0000 0.0000 0.5000
3 Pd 0.0000 0.5000 0.0000
4 Au 0.0004 0.5002 0.2013
5 Au 0.0323 0.5161 0.6011

---

Computed powder XRD pattern of NdZrHgAu for CuKα, from DFT lattice parameters and positions (PBE).

Principal peaks in the range 2θ from 10° to 90°, by intensity:
| Position (°2θ) | Rel. int. | h k l |
| --- | --- | --- |
| 34.9 | 100 | 2 2 0 |
| 62.5 | 37 | 4 2 2 |
| 50.2 | 18 | 4 0 0 |
| 84.1 | 17 | 6 2 0 |
| 73.6 | 12 | 4 4 0 |
| 24.5 | 7 | 2 0 0 |
| 56.6 | 3 | 4 2 0 |
| 43.1 | 2 | 2 2 2 |
| 78.9 | 2 | 6 0 0 |
| 21.1 | 1 | 1 1 1 |

Cell and atoms:
abc: 7.2762 7.2762 7.2762
angles: 90.00 90.00 90.00
Space group F-43m (No. 216)
Symmetry-distinct sites (fractional):
1 Nd 0.0000 0.0000 0.0000
2 Zr 0.0000 0.0000 0.5000
3 Hg 0.2500 0.2500 0.2500
4 Au 0.2500 0.2500 0.7500